Starting from a DFT-relaxed cell (GGA-PBE, Alexandria), the powder diffraction line list of CsTlTe2Se4 was calculated for Cu Kα X-rays.
Peak positions follow from Bragg's law for the DFT cell and can differ from measured ones.

Crystal structure
a = 7.6415 Å, b = 7.6415 Å, c = 9.6614 Å
α = 90.00°, β = 90.00°, γ = 90.00°
Space group I-42m (No. 121)
One atom of each set of equivalent atoms:
Cs: 0.0000 0.0000 0.0000 (multiplicity 2)
Tl: 0.0000 0.0000 0.5000 (multiplicity 2)
Te: 0.0000 0.5000 0.2500 (multiplicity 4)
Se: 0.2059 0.2059 0.6739 (multiplicity 8)

Most intense lines, 2θ = 10–90°, low angle first:
2θ/deg, I_rel
23.28, 14
24.72, 100
33.16, 41
41.80, 53
44.37, 25
67.10, 13

Starting from a DFT-relaxed cell (GGA-PBE, Alexandria), the powder diffraction line list of CsThSe3 was calculated for Cu Kα X-rays.
Peak positions follow from Bragg's law for the DFT cell and can differ from measured ones.

Crystal structure
a = 18.7835 Å, b = 4.4416 Å, c = 10.7442 Å
α = 90.00°, β = 124.77°, γ = 90.00°
Space group C2/m (No. 12)
One atom of each set of equivalent atoms:
Cs: 0.1028 0.0000 0.4359 (multiplicity 4)
Th: 0.1734 0.5000 0.0687 (multiplicity 4)
Se: 0.0204 0.5000 0.1264 (multiplicity 4)
Se: 0.1489 0.0000 0.8591 (multiplicity 4)
Se: 0.2302 0.0000 0.2788 (multiplicity 4)

Most intense lines, 2θ = 10–90°, low angle first:
2θ/deg, I_rel
10.02, 100
20.15, 75
21.65, 74
26.67, 77
30.15, 67
32.10, 57